Diffraction record for LaPmPr6Tm2. The powder diffractogram is computed, not measured: it uses a cell relaxed with GGA-PBE and Cu Kα (λ = 1.5418 Å).
Peak positions follow from Bragg's law for the DFT cell and can differ from measured ones.

Top 12 peaks for 2θ from 10° to 80°, in order of rising 2θ:
d/Å, I/Imax, hkl
3.285, 173, 2 2 -2
3.197, 455, 1 3 2
3.029, 566, 3 1 -1
2.996, 515, 0 2 3
2.962, 194, 2 4 0
2.918, 1000, 2 2 2
2.907, 408, 2 4 -1
2.827, 340, 1 5 -1
2.761, 253, 3 1 -2
2.722, 367, 1 3 -3
2.683, 164, 2 2 -3
2.438, 129, 3 1 2

Structural model:
Unit cell a=9.4185 b=15.3393 c=9.8597 alpha=90.00 beta=98.05 gamma=90.00
Space group C2/c (No. 15)
Unique sites:
La (0.0000, 0.0945, 0.2500) x4
Pm (0.0000, 0.4678, 0.7500) x4
Pr (0.0670, 0.3264, 0.4437) x8
Pr (0.0952, 0.1072, 0.6200) x8
Pr (0.2100, 0.2744, 0.8185) x8
Tm (0.2434, 0.4527, 0.0489) x8